(1)
Diffraction record for BaMgCd4. The PXRD pattern is simulated, not measured: it uses a DFT-relaxed cell (PBE, Alexandria) and Cu Kα X-rays.

Peak list (10 most intense, 2θ from 10° to 90°, by angle)
(hkl)	d [Å]	2θ (°)	intensity
2 0 0	6.517	13.59	27
2 2 0	4.608	19.26	33
2 2 2	3.067	29.12	79
4 2 0	2.913	30.69	100
5 0 1	2.485	36.15	64
2 1 3	2.477	36.26	28
3 3 2	2.460	36.53	23
3 0 3	2.316	38.89	27
3 2 3	2.182	41.38	25
6 0 2	1.920	47.34	34

Structural model:
```
data_BaMgCd4
_chemical_formula_sum 'Ba8 Mg8 Cd32'
_space_group_name_H-M_alt 'I 4/m m m'
_space_group_IT_number 139
_space_group_name_Hall '-I 4 2'
_cell_length_a 13.0346
_cell_length_b 13.0346
_cell_length_c 8.2107
_cell_angle_alpha 90.00
_cell_angle_beta 90.00
_cell_angle_gamma 90.00
loop_
_atom_site_label
_atom_site_type_symbol
_atom_site_fract_x
_atom_site_fract_y
_atom_site_fract_z
Ba1 Ba 0.0000 0.0000 0.2275
Ba2 Ba 0.0000 0.5000 0.2500
Mg1 Mg 0.0000 0.2607 0.5000
Cd1 Cd 0.1094 0.2841 0.0000
Cd2 Cd 0.1781 0.1781 0.3170
```

***

(2)
Diffraction record for Mg5Cd2Ag2Pd. The PXRD pattern is simulated, not measured: it uses a DFT-relaxed cell (PBE, Alexandria) and Cu Kα X-rays.

Peak list (10 most intense, 2θ from 10° to 90°, by angle)
(hkl)	d [Å]	2θ (°)	intensity
2 2 0	4.022	22.10	16
3 1 0	3.597	24.75	79
0 0 1	3.170	28.15	34
3 3 0	2.681	33.42	37
2 2 1	2.490	36.08	22
3 1 1	2.378	37.83	100
3 2 1	2.235	40.35	16
4 0 1	2.116	42.73	15
6 0 0	1.896	47.99	24
7 3 1	1.351	69.58	16

Structural model:
```
data_Mg5Cd2Ag2Pd
_chemical_formula_sum 'Mg10 Cd4 Ag4 Pd2'
_space_group_name_H-M_alt 'P 4/m b m'
_space_group_IT_number 127
_space_group_name_Hall '-P 4 2ab'
_cell_length_a 11.3753
_cell_length_b 11.3753
_cell_length_c 3.1699
_cell_angle_alpha 90.00
_cell_angle_beta 90.00
_cell_angle_gamma 90.00
loop_
_atom_site_label
_atom_site_type_symbol
_atom_site_fract_x
_atom_site_fract_y
_atom_site_fract_z
Mg1 Mg 0.0000 0.5000 0.0000
Mg2 Mg 0.0293 0.1919 0.0000
Cd1 Cd 0.1756 0.6756 0.5000
Ag1 Ag 0.1423 0.3577 0.5000
Pd1 Pd 0.0000 0.0000 0.5000
```